NaMg3Al6Si6B3O31: calculated X-ray diffraction stick pattern (Cu Kα (weighted mean of Kα1 and Kα2)), based on a crystal structure in Alexandria, relaxed with PBE.
Neutral-atom scattering factors, no anomalous dispersion.

Peak list (6 most intense, 10 to 90 degrees two-theta, by angle)
| Position (°2θ) | d/Å | I/Imax |
| --- | --- | --- |
| 20.74 | 4.283 | 69.9 |
| 22.04 | 4.034 | 74.6 |
| 25.16 | 3.540 | 50.5 |
| 29.70 | 3.008 | 83.7 |
| 34.35 | 2.611 | 100.0 |
| 43.74 | 2.070 | 39.8 |

Cell and atoms:
```
NaMg3Al6Si6B3O31
1.0
8.068 4.658 2.439
-8.068 4.658 2.439
0.000 -9.316 2.439
Na Mg Al Si B O
1 3 6 6 3 31
direct
0.000 0.000 0.000
0.318 0.318 0.510
0.318 0.510 0.318
0.510 0.318 0.318
0.110 0.336 0.674
0.110 0.674 0.336
0.336 0.110 0.674
0.336 0.674 0.110
0.674 0.110 0.336
0.674 0.336 0.110
0.565 0.754 0.948
0.565 0.948 0.754
0.754 0.565 0.948
0.754 0.948 0.565
0.948 0.565 0.754
0.948 0.754 0.565
0.327 0.327 0.997
0.327 0.997 0.327
0.997 0.327 0.327
0.025 0.746 0.746
0.114 0.298 0.298
0.123 0.553 0.842
0.123 0.842 0.553
0.166 0.166 0.574
0.166 0.574 0.166
0.267 0.417 0.937
0.267 0.937 0.417
0.298 0.114 0.298
0.298 0.298 0.114
0.343 0.527 0.733
0.343 0.733 0.527
0.417 0.267 0.937
0.417 0.937 0.267
0.521 0.521 0.521
0.527 0.343 0.733
0.527 0.733 0.343
0.553 0.123 0.842
0.553 0.842 0.123
0.574 0.166 0.166
0.639 0.915 0.915
0.733 0.343 0.527
0.733 0.527 0.343
0.746 0.025 0.746
0.746 0.746 0.025
0.842 0.123 0.553
0.842 0.553 0.123
0.915 0.639 0.915
0.915 0.915 0.639
0.937 0.267 0.417
0.937 0.417 0.267
```

=====

MgAl2BO6: calculated X-ray diffraction stick pattern (Cu Kα (weighted mean of Kα1 and Kα2)), based on a crystal structure in Alexandria, relaxed with PBE.
Neutral-atom scattering factors, no anomalous dispersion.

Peak list (6 most intense, 10 to 90 degrees two-theta, by angle)
| Position (°2θ) | d/Å | I/Imax |
| --- | --- | --- |
| 17.80 | 4.983 | 39.3 |
| 25.85 | 3.447 | 100.0 |
| 28.55 | 3.127 | 48.2 |
| 34.39 | 2.608 | 62.0 |
| 35.70 | 2.515 | 41.9 |
| 55.32 | 1.661 | 39.5 |

Cell and atoms:
```
MgAl2BO6
1.0
4.452 -4.983 0.000
4.452 4.983 0.000
-2.167 0.000 4.773
Mg Al B O
2 4 2 12
direct
0.100 0.900 0.750
0.900 0.100 0.250
0.247 0.441 0.857
0.441 0.247 0.357
0.559 0.753 0.643
0.753 0.559 0.143
0.172 0.828 0.250
0.828 0.172 0.750
0.040 0.203 0.697
0.158 0.674 0.981
0.203 0.040 0.197
0.326 0.842 0.519
0.329 0.434 0.560
0.434 0.329 0.060
0.566 0.671 0.940
0.671 0.566 0.440
0.674 0.158 0.481
0.797 0.960 0.803
0.842 0.326 0.019
0.960 0.797 0.303
```

=====

MnAlB4: calculated X-ray diffraction stick pattern (Cu Kα (weighted mean of Kα1 and Kα2)), based on a crystal structure in Alexandria, relaxed with PBE.
Neutral-atom scattering factors, no anomalous dispersion.

Peak list (6 most intense, 10 to 90 degrees two-theta, by angle)
| Position (°2θ) | d/Å | I/Imax |
| --- | --- | --- |
| 22.54 | 3.944 | 74.6 |
| 27.82 | 3.207 | 57.4 |
| 39.74 | 2.268 | 55.7 |
| 42.39 | 2.132 | 85.0 |
| 47.14 | 1.928 | 64.3 |
| 49.20 | 1.852 | 100.0 |

Cell and atoms:
```
MnAlB4
1.0
5.930 0.000 0.000
0.000 10.564 0.000
0.000 0.000 3.207
Mn Al B
4 4 16
direct
0.148 0.084 0.000
0.352 0.584 0.000
0.648 0.416 0.000
0.852 0.916 0.000
0.091 0.356 0.000
0.409 0.856 0.000
0.591 0.144 0.000
0.909 0.644 0.000
0.014 0.204 0.500
0.108 0.941 0.500
0.137 0.520 0.500
0.192 0.684 0.500
0.308 0.184 0.500
0.363 0.020 0.500
0.392 0.441 0.500
0.486 0.704 0.500
0.514 0.296 0.500
0.608 0.559 0.500
0.637 0.980 0.500
0.692 0.816 0.500
0.808 0.316 0.500
0.863 0.480 0.500
0.892 0.059 0.500
0.986 0.796 0.500
```

=====

Q: Which formula does entry 3 have?
A: MnAlB4

=====

Repeat the third record exactly.
MnAlB4: calculated X-ray diffraction stick pattern (Cu Kα (weighted mean of Kα1 and Kα2)), based on a crystal structure in Alexandria, relaxed with PBE.
Neutral-atom scattering factors, no anomalous dispersion.

Peak list (6 most intense, 10 to 90 degrees two-theta, by angle)
| Position (°2θ) | d/Å | I/Imax |
| --- | --- | --- |
| 22.54 | 3.944 | 74.6 |
| 27.82 | 3.207 | 57.4 |
| 39.74 | 2.268 | 55.7 |
| 42.39 | 2.132 | 85.0 |
| 47.14 | 1.928 | 64.3 |
| 49.20 | 1.852 | 100.0 |

Cell and atoms:
```
MnAlB4
1.0
5.930 0.000 0.000
0.000 10.564 0.000
0.000 0.000 3.207
Mn Al B
4 4 16
direct
0.148 0.084 0.000
0.352 0.584 0.000
0.648 0.416 0.000
0.852 0.916 0.000
0.091 0.356 0.000
0.409 0.856 0.000
0.591 0.144 0.000
0.909 0.644 0.000
0.014 0.204 0.500
0.108 0.941 0.500
0.137 0.520 0.500
0.192 0.684 0.500
0.308 0.184 0.500
0.363 0.020 0.500
0.392 0.441 0.500
0.486 0.704 0.500
0.514 0.296 0.500
0.608 0.559 0.500
0.637 0.980 0.500
0.692 0.816 0.500
0.808 0.316 0.500
0.863 0.480 0.500
0.892 0.059 0.500
0.986 0.796 0.500
```